Record 1
TmBrO: simulated X-ray powder pattern (Cu Kα (λ = 1.5418 Å)), based on a DFT-relaxed cell (PBE, the Materials Project).
Lines closer than 0.1° are merged.

Cell and atoms:
Unit cell a=3.779 b=4.143 c=9.194 alpha=90.00 beta=90.00 gamma=90.00
Space group Pmmn (No. 59, origin choice 2)
Inequivalent atoms, fractional coordinates:
Tm1 0.250 0.250 0.111 (multiplicity 2)
Br1 0.250 0.750 0.664 (multiplicity 2)
O1 0.250 0.750 0.026 (multiplicity 2)

Top 6 peaks for 2θ = 5–70°, low angle first:
hkl 0 0 1, d 9.194, rel. 1000
hkl 0 1 1, d 3.777, rel. 778
hkl 1 0 2, d 2.919, rel. 766
hkl 1 1 1, d 2.672, rel. 484
hkl 1 1 3, d 2.064, rel. 308
hkl 1 2 2, d 1.690, rel. 461

Record 2
UBr4O9: simulated X-ray powder pattern (Cu Kα (λ = 1.5418 Å)), based on a DFT-relaxed cell (PBE, the Materials Project).
Lines closer than 0.1° are merged.

Cell and atoms:
Unit cell a=6.385 b=7.155 c=14.854 alpha=77.77 beta=80.02 gamma=70.53
Space group P-1 (No. 2)
Inequivalent atoms, fractional coordinates:
U1 0.219 0.117 0.174 (multiplicity 2)
Br1 0.111 0.646 0.276 (multiplicity 2)
Br2 0.253 0.780 0.944 (multiplicity 2)
Br3 0.334 0.162 0.437 (multiplicity 2)
Br4 0.343 0.358 0.818 (multiplicity 2)
O1 0.072 0.903 0.280 (multiplicity 2)
O2 0.144 0.690 0.862 (multiplicity 2)
O3 0.197 0.265 0.266 (multiplicity 2)
O4 0.222 0.990 0.078 (multiplicity 2)
O5 0.232 0.656 0.570 (multiplicity 2)
O6 0.253 0.675 0.485 (multiplicity 2)
O7 0.369 0.147 0.551 (multiplicity 2)
O8 0.459 0.295 0.081 (multiplicity 2)
O9 0.477 0.111 0.785 (multiplicity 2)

Top 6 peaks for 2θ = 5–70°, low angle first:
hkl 0 0 1, d 14.426, rel. 1000
hkl 0 0 3, d 4.809, rel. 624
hkl 0 1 3, d 4.246, rel. 672
hkl 1 1 -2, d 3.883, rel. 598
hkl 1 1 4, d 3.371, rel. 836
hkl 2 0 0, d 2.992, rel. 841

Record 3
UBr4O9: simulated X-ray powder pattern (Cu Kα (λ = 1.5418 Å)), based on a DFT-relaxed cell (PBE, the Materials Project).
Lines closer than 0.1° are merged.

Cell and atoms:
Unit cell a=6.442 b=7.237 c=13.954 alpha=83.04 beta=89.29 gamma=69.41
Space group P-1 (No. 2)
Inequivalent atoms, fractional coordinates:
U1 0.164 0.291 0.306 (multiplicity 2)
Br1 0.148 0.799 0.968 (multiplicity 2)
Br2 0.274 0.823 0.476 (multiplicity 2)
Br3 0.280 0.169 0.692 (multiplicity 2)
Br4 0.431 0.544 0.770 (multiplicity 2)
O1 0.038 0.406 0.662 (multiplicity 2)
O2 0.085 0.367 0.178 (multiplicity 2)
O3 0.116 0.988 0.379 (multiplicity 2)
O4 0.151 0.895 0.075 (multiplicity 2)
O5 0.208 0.700 0.689 (multiplicity 2)
O6 0.291 0.229 0.938 (multiplicity 2)
O7 0.306 0.264 0.422 (multiplicity 2)
O8 0.359 0.247 0.017 (multiplicity 2)
O9 0.457 0.043 0.269 (multiplicity 2)

Top 6 peaks for 2θ = 5–70°, low angle first:
hkl 0 0 1, d 13.844, rel. 781
hkl 0 1 1, d 6.367, rel. 790
hkl 0 0 3, d 4.615, rel. 1000
hkl 1 1 2, d 4.503, rel. 868
hkl 0 2 0, d 3.362, rel. 813
hkl 2 2 0, d 2.785, rel. 803

Record 4
U2Br2O: simulated X-ray powder pattern (Cu Kα (λ = 1.5418 Å)), based on a DFT-relaxed cell (PBE, the Materials Project).
Lines closer than 0.1° are merged.

Cell and atoms:
Unit cell a=3.515 b=3.515 c=13.030 alpha=90.00 beta=90.00 gamma=90.00
Space group P4/mmm (No. 123)
Inequivalent atoms, fractional coordinates:
U1 0.000 0.000 0.158 (multiplicity 2)
Br1 0.000 0.000 0.360 (multiplicity 2)
O1 0.000 0.000 0.000 (multiplicity 1)

Top 6 peaks for 2θ = 5–70°, low angle first:
hkl 0 0 1, d 13.030, rel. 543
hkl 1 0 0, d 3.515, rel. 1000
hkl 1 0 3, d 2.732, rel. 212
hkl 1 1 0, d 2.485, rel. 400
hkl 1 0 4, d 2.389, rel. 351
hkl 1 0 6, d 1.847, rel. 234

Record 5
UBrO2: simulated X-ray powder pattern (Cu Kα (λ = 1.5418 Å)), based on a DFT-relaxed cell (PBE, the Materials Project).
Lines closer than 0.1° are merged.

Cell and atoms:
Unit cell a=4.149 b=21.250 c=4.010 alpha=90.00 beta=90.00 gamma=90.00
Space group Cmcm (No. 63)
Inequivalent atoms, fractional coordinates:
U1 0.000 0.074 0.250 (multiplicity 4)
Br1 0.000 0.177 0.750 (multiplicity 4)
O1 0.000 0.035 0.750 (multiplicity 4)
O2 0.000 0.424 0.750 (multiplicity 4)

Top 6 peaks for 2θ = 5–70°, low angle first:
hkl 0 2 0, d 10.625, rel. 873
hkl 1 1 0, d 4.072, rel. 1000
hkl 0 4 1, d 3.201, rel. 861
hkl 1 3 1, d 2.671, rel. 540
hkl 1 5 1, d 2.386, rel. 321
hkl 2 4 1, d 1.741, rel. 302

Record 6
YBr3O10: simulated X-ray powder pattern (Cu Kα (λ = 1.5418 Å)), based on a DFT-relaxed cell (PBE, the Materials Project).
Lines closer than 0.1° are merged.

Cell and atoms:
Unit cell a=6.890 b=8.438 c=10.269 alpha=105.86 beta=107.20 gamma=90.36
Space group P-1 (No. 2)
Inequivalent atoms, fractional coordinates:
Y1 0.190 0.257 0.232 (multiplicity 2)
Br1 0.139 0.052 0.712 (multiplicity 2)
Br2 0.256 0.831 0.039 (multiplicity 2)
Br3 0.262 0.613 0.581 (multiplicity 2)
O1 0.007 0.173 0.994 (multiplicity 2)
O2 0.033 0.844 0.688 (multiplicity 2)
O3 0.037 0.552 0.845 (multiplicity 2)
O4 0.091 0.423 0.749 (multiplicity 2)
O5 0.242 0.348 0.811 (multiplicity 2)
O6 0.269 0.428 0.457 (multiplicity 2)
O7 0.326 0.936 0.386 (multiplicity 2)
O8 0.349 0.032 0.145 (multiplicity 2)
O9 0.389 0.799 0.349 (multiplicity 2)
O10 0.477 0.643 0.727 (multiplicity 2)

Top 6 peaks for 2θ = 5–70°, low angle first:
hkl 0 1 -1, d 7.244, rel. 1000
hkl 1 1 -2, d 4.375, rel. 445
hkl 0 2 -1, d 4.173, rel. 464
hkl 1 -1 2, d 3.425, rel. 405
hkl 1 1 -3, d 3.310, rel. 648
hkl -1 2 1, d 3.264, rel. 608

Record 7
Y4OsBr4: simulated X-ray powder pattern (Cu Kα (λ = 1.5418 Å)), based on a DFT-relaxed cell (PBE, the Materials Project).
Lines closer than 0.1° are merged.

Cell and atoms:
Unit cell a=12.774 b=12.633 c=6.590 alpha=90.00 beta=90.69 gamma=90.00
Space group C2/c (No. 15)
Inequivalent atoms, fractional coordinates:
Y1 0.075 0.174 0.490 (multiplicity 8)
Y2 0.173 0.075 0.009 (multiplicity 8)
Os1 0.000 0.005 0.750 (multiplicity 4)
Br1 0.118 0.301 0.092 (multiplicity 8)
Br2 0.198 0.388 0.595 (multiplicity 8)

Top 6 peaks for 2θ = 5–70°, low angle first:
hkl 1 1 0, d 8.982, rel. 1000
hkl 2 0 2, d 2.916, rel. 177
hkl 2 2 -2, d 2.667, rel. 141
hkl 4 2 -1, d 2.626, rel. 191
hkl 2 4 -1, d 2.606, rel. 298
hkl 1 3 2, d 2.538, rel. 220

Record 8
PBr5: simulated X-ray powder pattern (Cu Kα (λ = 1.5418 Å)), based on a DFT-relaxed cell (PBE, the Materials Project).
Lines closer than 0.1° are merged.

Cell and atoms:
Unit cell a=5.980 b=17.405 c=8.796 alpha=90.00 beta=90.00 gamma=90.00
Space group Pbcm (No. 57)
Inequivalent atoms, fractional coordinates:
P1 0.038 0.136 0.250 (multiplicity 4)
Br1 0.170 0.742 0.250 (multiplicity 4)
Br2 0.188 0.536 0.250 (multiplicity 4)
Br3 0.246 0.132 0.041 (multiplicity 8)
Br4 0.484 0.613 0.750 (multiplicity 4)

Top 6 peaks for 2θ = 5–70°, low angle first:
hkl 1 2 1, d 4.300, rel. 783
hkl 1 3 0, d 4.164, rel. 305
hkl 1 3 1, d 3.764, rel. 275
hkl 1 1 2, d 3.472, rel. 1000
hkl 1 5 0, d 3.008, rel. 710
hkl 2 4 2, d 2.150, rel. 711

Record 9
PBr3: simulated X-ray powder pattern (Cu Kα (λ = 1.5418 Å)), based on a DFT-relaxed cell (PBE, the Materials Project).
Lines closer than 0.1° are merged.

Cell and atoms:
Unit cell a=9.355 b=10.971 c=6.961 alpha=90.00 beta=90.00 gamma=90.00
Space group Pnma (No. 62)
Inequivalent atoms, fractional coordinates:
P1 0.049 0.250 0.028 (multiplicity 4)
Br1 0.105 0.250 0.714 (multiplicity 4)
Br2 0.179 0.092 0.138 (multiplicity 8)

Top 6 peaks for 2θ = 5–70°, low angle first:
hkl 1 1 1, d 4.977, rel. 256
hkl 2 1 0, d 4.303, rel. 1000
hkl 1 0 2, d 3.262, rel. 514
hkl 0 3 1, d 3.237, rel. 674
hkl 2 2 1, d 3.169, rel. 421
hkl 1 3 1, d 3.059, rel. 273

Record 10
Pr3PBr3: simulated X-ray powder pattern (Cu Kα (λ = 1.5418 Å)), based on a DFT-relaxed cell (PBE, the Materials Project).
Lines closer than 0.1° are merged.

Cell and atoms:
Unit cell a=11.959 b=11.959 c=11.959 alpha=90.00 beta=90.00 gamma=90.00
Space group I4_132 (No. 214)
Inequivalent atoms, fractional coordinates:
Pr1 0.112 0.362 0.125 (multiplicity 24)
P1 0.125 0.125 0.125 (multiplicity 8)
Br1 0.118 0.132 0.625 (multiplicity 24)

Top 6 peaks for 2θ = 5–70°, low angle first:
hkl 1 1 0, d 8.457, rel. 184
hkl 3 2 1, d 3.196, rel. 322
hkl 4 0 0, d 2.990, rel. 1000
hkl 3 3 2, d 2.550, rel. 176
hkl 4 4 0, d 2.114, rel. 704
hkl 4 4 4, d 1.726, rel. 235

Record 11
Pa3Br: simulated X-ray powder pattern (Cu Kα (λ = 1.5418 Å)), based on a DFT-relaxed cell (PBE, the Materials Project).
Lines closer than 0.1° are merged.

Cell and atoms:
Unit cell a=4.534 b=4.534 c=8.977 alpha=90.00 beta=90.00 gamma=90.00
Space group I4/mmm (No. 139)
Inequivalent atoms, fractional coordinates:
Pa1 0.000 0.000 0.000 (multiplicity 2)
Pa2 0.000 0.500 0.250 (multiplicity 4)
Br1 0.000 0.000 0.500 (multiplicity 2)

Top 6 peaks for 2θ = 5–70°, low angle first:
hkl 1 1 2, d 2.609, rel. 1000
hkl 2 0 0, d 2.267, rel. 338
hkl 0 0 4, d 2.244, rel. 164
hkl 2 0 4, d 1.595, rel. 231
hkl 3 1 2, d 1.366, rel. 278
hkl 1 1 6, d 1.356, rel. 136